The following is a computed X-ray powder pattern of BaVCdO4. It was derived from a cell relaxed with PBE+U, using a wavelength of 1.5418 Å.
No peak broadening, texture or thermal motion is included.

The 10 most intense peaks (2θ = 15–90°), in order of falling intensity:
d/Å  two_theta  intensity  h k l
3.181  28.05  100  1 1 1
3.614  24.63  59  1 0 -2
2.920  30.62  55  0 2 0
2.135  42.34  46  0 1 3
4.041  22.00  45  1 1 -1
2.761  32.42  43  2 1 -1
2.271  39.68  26  1 2 -2
2.603  34.45  22  2 1 0
2.226  40.53  21  0 2 2
3.073  29.06  20  1 1 -2

Crystal structure
abc: 6.276 5.840 7.420
angles: 90.00 112.07 90.00
Space group P2_1/m (No. 11)
Inequivalent atoms, fractional coordinates:
Ba  0.249  0.250  0.450 (multiplicity 2)
V  0.018  0.250  0.810 (multiplicity 2)
Cd  0.360  0.750  0.951 (multiplicity 2)
O  0.122  0.250  0.058 (multiplicity 2)
O  0.126  0.015  0.721 (multiplicity 4)
O  0.286  0.750  0.305 (multiplicity 2)